Starting from a DFT-relaxed cell (GGA-PBE, Alexandria), the powder diffractogram of ThPbAu was calculated for copper Kα.
Lines closer than 0.1° are merged.

Atomic structure:
```
ThPbAu
1.0
4.997 0.000 0.000
-2.498 4.327 0.000
0.000 0.000 7.440
Th Pb Au
2 2 2
direct
0.000 0.000 0.214 Th
0.000 0.000 0.786 Th
0.333 0.667 0.445 Pb
0.667 0.333 0.555 Pb
0.333 0.667 0.003 Au
0.667 0.333 0.997 Au
```

Top 12 peaks for 15 to 90 degrees two-theta, low angle first:
- hkl 0 1 2, d 2.821, I = 100.0
- hkl 1 1 0, d 2.498, I = 91.5
- hkl 1 0 3, d 2.152, I = 18.8
- hkl 1 1 2, d 2.075, I = 8.4
- hkl 2 0 2, d 1.870, I = 31.1
- hkl 1 2 2, d 1.497, I = 30.7
- hkl 1 1 4, d 1.492, I = 13.5
- hkl 3 0 0, d 1.442, I = 17.2
- hkl 2 1 3, d 1.365, I = 9.0
- hkl 1 1 5, d 1.278, I = 11.1
- hkl 2 2 0, d 1.249, I = 10.9
- hkl 3 1 2, d 1.142, I = 13.4